[1]
Starting from a DFT-relaxed cell (PBE, Alexandria), the powder diffraction line list of Pm4SmEr5 was computed for copper Kα.

Cell and atoms:
a = 8.0832 Å, b = 8.0832 Å, c = 8.0832 Å
α = 97.76°, β = 97.76°, γ = 136.87°
Fractional positions:
Pm1 0.0000 0.3246 0.3246
Pm2 0.0000 0.6754 0.6754
Pm3 0.3246 0.0000 0.3246
Pm4 0.6754 0.0000 0.6754
Sm1 0.7486 0.7486 0.0000
Er1 0.2231 0.2231 0.0000
Er2 0.2949 0.2949 0.6216
Er3 0.2949 0.6734 0.0000
Er4 0.6734 0.2949 0.0000
Er5 0.6734 0.6734 0.3784

Peak list (10 most intense, 2θ from 5° to 70°, low angle first)
2theta  d [Å]  I (rel.)
29.3  3.044  100.0
30.1  2.971  13.9
32.4  2.763  12.3
34.6  2.593  19.9
35.8  2.506  41.9
47.5  1.915  12.1
51.6  1.772  12.5
53.0  1.729  15.9
59.5  1.554  12.0
60.5  1.531  17.4



[2]
Starting from a DFT-relaxed cell (PBE, Alexandria), the powder diffraction line list of SmB3C was computed for copper Kα.

Cell and atoms:
a = 3.7329 Å, b = 7.4553 Å, c = 3.9920 Å
α = 90.00°, β = 90.00°, γ = 90.00°
Fractional positions:
Sm1 0.0000 0.1575 0.0000
Sm2 0.5000 0.8425 0.5000
B1 0.0000 0.7209 0.1463
B2 0.2500 0.4053 0.3739
B3 0.2500 0.5947 0.8739
B4 0.5000 0.2791 0.6463
B5 0.7500 0.4053 0.3739
B6 0.7500 0.5947 0.8739
C1 0.0000 0.5819 0.5156
C2 0.5000 0.4181 0.0156

Peak list (10 most intense, 2θ from 5° to 70°, low angle first)
2theta  d [Å]  I (rel.)
11.9  7.455  33.3
25.3  3.519  67.3
26.7  3.338  51.3
32.9  2.726  100.0
34.0  2.638  50.3
35.0  2.561  33.9
49.6  1.837  32.6
55.7  1.649  18.8
57.9  1.592  20.1
60.1  1.539  21.4



[3]
Starting from a DFT-relaxed cell (PBE, Alexandria), the powder diffraction line list of Pm4NdTm6 was computed for copper Kα.

Cell and atoms:
a = 9.6626 Å, b = 9.6626 Å, c = 9.6626 Å
α = 139.83°, β = 139.83°, γ = 58.11°
Fractional positions:
Pm1 0.0145 0.6352 0.0000
Pm2 0.3648 0.3648 0.3793
Pm3 0.6352 0.0145 0.0000
Pm4 0.9855 0.9855 0.6207
Nd1 0.0000 0.0000 0.0000
Tm1 0.0000 0.5000 0.5000
Tm2 0.1965 0.1965 0.6438
Tm3 0.4473 0.8035 0.0000
Tm4 0.5000 0.0000 0.5000
Tm5 0.5527 0.5527 0.3562
Tm6 0.8035 0.4473 0.0000

Peak list (10 most intense, 2θ from 5° to 70°, low angle first)
2theta  d [Å]  I (rel.)
28.4  3.139  42.7
28.9  3.088  63.4
29.7  3.011  28.0
30.6  2.923  100.0
31.8  2.816  25.3
34.4  2.609  78.7
37.2  2.414  30.5
38.4  2.346  30.4
40.5  2.230  35.8
57.5  1.602  29.3



[4]
Starting from a DFT-relaxed cell (PBE, Alexandria), the powder diffraction line list of Pa4TiGe3 was computed for copper Kα.

Cell and atoms:
a = 8.3404 Å, b = 8.3404 Å, c = 8.3404 Å
α = 96.33°, β = 96.33°, γ = 141.23°
Fractional positions:
Pa1 0.0943 0.7718 0.8661
Pa2 0.2282 0.0943 0.3225
Pa3 0.2718 0.5943 0.8661
Pa4 0.4057 0.2718 0.6775
Pa5 0.5943 0.7282 0.3225
Pa6 0.7282 0.4057 0.1339
Pa7 0.7718 0.9057 0.6775
Pa8 0.9057 0.2282 0.1339
Ti1 0.2500 0.7500 0.5000
Ti2 0.7500 0.2500 0.5000
Ge1 0.1466 0.3534 0.5000
Ge2 0.2500 0.2500 0.0000
Ge3 0.3534 0.8534 0.2067
Ge4 0.6466 0.1466 0.7933
Ge5 0.7500 0.7500 0.0000
Ge6 0.8534 0.6466 0.5000

Peak list (10 most intense, 2θ from 5° to 70°, low angle first)
2theta  d [Å]  I (rel.)
24.0  3.701  37.8
32.3  2.768  37.5
33.2  2.696  100.0
36.1  2.488  48.9
36.2  2.478  23.5
37.1  2.426  61.9
39.8  2.264  19.2
46.9  1.936  24.9
58.3  1.584  20.8
60.0  1.541  16.8



[5]
Starting from a DFT-relaxed cell (PBE, Alexandria), the powder diffraction line list of HfVCr2 was computed for copper Kα.

Cell and atoms:
a = 4.3565 Å, b = 4.3565 Å, c = 4.3565 Å
α = 60.00°, β = 60.00°, γ = 60.00°
Fractional positions:
Hf1 0.0000 0.0000 0.0000
V1 0.5000 0.5000 0.5000
Cr1 0.2500 0.2500 0.2500
Cr2 0.7500 0.7500 0.7500

Peak list (8 most intense, 2θ from 5° to 70°, low angle first)
2theta  d [Å]  I (rel.)
25.0  3.557  35.1
29.0  3.080  16.2
41.5  2.178  100.0
49.0  1.858  18.5
51.4  1.779  4.9
60.1  1.540  15.9
66.1  1.413  7.9
68.1  1.378  6.7



[6]
Starting from a DFT-relaxed cell (PBE, Alexandria), the powder diffraction line list of Ca3Hg2N was computed for copper Kα.

Cell and atoms:
a = 5.3467 Å, b = 5.3467 Å, c = 5.3467 Å
α = 81.42°, β = 81.42°, γ = 81.42°
Fractional positions:
Ca1 0.0000 0.5000 0.5000
Ca2 0.5000 0.0000 0.5000
Ca3 0.5000 0.5000 0.0000
Hg1 0.1256 0.1256 0.1256
Hg2 0.8744 0.8744 0.8744
N1 0.5000 0.5000 0.5000

Peak list (10 most intense, 2θ from 5° to 70°, low angle first)
2theta  d [Å]  I (rel.)
16.9  5.242  90.7
25.5  3.487  100.0
30.8  2.904  71.7
36.3  2.476  69.4
37.2  2.417  51.2
40.4  2.231  23.1
45.0  2.013  22.7
52.4  1.747  24.0
52.5  1.744  29.5
53.0  1.726  37.4